Record 1
This entry pairs a crystal structure of Li5V3Fe2O10 with its theoretical powder XRD pattern. Radiation: Cu Kα X-rays. Structure: a PBE+U-relaxed structure.
Neutral-atom scattering factors, no anomalous dispersion.

Main lines, sorted by position (2θ = 10–90°):
| 2theta | Rel. int. | hkl |
| --- | --- | --- |
| 12.26 | 503 | 0 0 1 |
| 18.09 | 1000 | 0 1 -1 |
| 18.48 | 437 | 1 0 0 |
| 26.23 | 304 | 1 0 -2 |
| 41.88 | 722 | -1 2 1 |
| 42.67 | 680 | 1 -1 3 |
| 43.58 | 689 | 2 1 -2 |
| 62.20 | 358 | -3 1 3 |

Atomic structure:
```
data_Li5V3Fe2O10
_symmetry_space_group_name_H-M 'P -1'
_symmetry_Int_Tables_number 2
_symmetry_space_group_name_Hall '-P 1'
_cell_length_a 5.106
_cell_length_b 5.242
_cell_length_c 7.939
_cell_angle_alpha 108.14
_cell_angle_beta 102.29
_cell_angle_gamma 100.71
loop_
_atom_site_label
_atom_site_fract_x
_atom_site_fract_y
_atom_site_fract_z
Li1 0.000 0.000 0.000
Li2 0.110 0.218 0.724
Li3 0.294 0.574 0.086
V1 0.200 0.398 0.394
V2 0.500 0.000 0.500
Fe1 0.407 0.827 0.827
O1 0.032 0.605 0.825
O2 0.160 0.773 0.545
O3 0.267 0.027 0.271
O4 0.354 0.200 0.950
O5 0.444 0.390 0.634
```

=====

Record 2
This entry pairs a crystal structure of Li2V2FeO6 with its theoretical powder XRD pattern. Radiation: Cu Kα X-rays. Structure: a PBE+U-relaxed structure.
Neutral-atom scattering factors, no anomalous dispersion.

Main lines, sorted by position (2θ = 10–90°):
| 2theta | Rel. int. | hkl |
| --- | --- | --- |
| 17.97 | 1000 | 1 1 1 |
| 35.51 | 121 | 0 0 3 |
| 35.65 | 114 | 1 -2 1 |
| 37.03 | 124 | -2 1 1 |
| 42.80 | 227 | 0 3 0 |
| 42.93 | 223 | 1 1 4 |
| 44.34 | 194 | 3 0 0 |
| 62.41 | 112 | 1 4 4 |

Atomic structure:
```
data_Li2V2FeO6
_symmetry_space_group_name_H-M 'P -1'
_symmetry_Int_Tables_number 2
_symmetry_space_group_name_Hall '-P 1'
_cell_length_a 6.549
_cell_length_b 6.676
_cell_length_c 8.430
_cell_angle_alpha 71.88
_cell_angle_beta 69.53
_cell_angle_gamma 81.39
loop_
_atom_site_label
_atom_site_fract_x
_atom_site_fract_y
_atom_site_fract_z
Li1 0.004 0.158 0.339
Li2 0.326 0.171 0.000
Li3 0.330 0.493 0.669
V1 0.315 0.838 0.842
V2 0.321 0.508 0.174
V3 0.340 0.162 0.503
Fe1 0.000 0.500 0.500
Fe2 0.007 0.827 0.167
O1 0.017 0.847 0.910
O2 0.019 0.502 0.260
O3 0.027 0.189 0.573
O4 0.319 0.151 0.750
O5 0.321 0.483 0.415
O6 0.337 0.819 0.072
O7 0.341 0.840 0.597
O8 0.356 0.192 0.249
O9 0.357 0.516 0.919
```